(1)
Theoretical powder diffraction line list of NaHoB12 for Cu Ka, from the PBE geometry in Alexandria.
Intensities are scaled so that the largest is 100.

The 10 most intense peaks (2θ from 10° to 90°), low angle first:
2θ 10.71, d = 8.259 Å, intensity 90.9
2θ 21.53, d = 4.127 Å, intensity 43.2
2θ 24.11, d = 3.691 Å, intensity 56.6
2θ 30.64, d = 2.918 Å, intensity 100.0
2θ 32.55, d = 2.751 Å, intensity 33.2
2θ 37.75, d = 2.383 Å, intensity 44.0
2θ 43.87, d = 2.064 Å, intensity 22.8
2θ 45.30, d = 2.002 Å, intensity 22.2
2θ 49.38, d = 1.846 Å, intensity 47.7
2θ 68.17, d = 1.376 Å, intensity 29.4

Crystal structure
```
NaHoB12
1.0
4.1259 0.0000 0.0000
0.0000 4.1259 0.0000
0.0000 0.0000 8.2588
Na Ho B
1 1 12
direct
0.0000 0.0000 0.0000
0.0000 0.0000 0.5000
0.2006 0.5000 0.2532
0.2006 0.5000 0.7468
0.5000 0.2006 0.2532
0.5000 0.2006 0.7468
0.5000 0.5000 0.1017
0.5000 0.5000 0.4013
0.5000 0.5000 0.5987
0.5000 0.5000 0.8983
0.5000 0.7994 0.2532
0.5000 0.7994 0.7468
0.7994 0.5000 0.2532
0.7994 0.5000 0.7468
```

(2)
Theoretical powder diffraction line list of Na2Ho2B2TeO10 for Cu Ka, from the PBE geometry in Alexandria.
Intensities are scaled so that the largest is 100.

The 10 most intense peaks (2θ from 10° to 90°), low angle first:
2θ 14.36, d = 6.170 Å, intensity 100.0
2θ 16.88, d = 5.253 Å, intensity 39.2
2θ 27.05, d = 3.296 Å, intensity 40.1
2θ 27.53, d = 3.240 Å, intensity 26.9
2θ 30.01, d = 2.978 Å, intensity 63.9
2θ 30.32, d = 2.948 Å, intensity 39.0
2θ 31.96, d = 2.801 Å, intensity 39.0
2θ 34.13, d = 2.627 Å, intensity 21.9
2θ 34.86, d = 2.574 Å, intensity 26.6
2θ 49.67, d = 1.835 Å, intensity 18.6

Crystal structure
```
Na2Ho2B2TeO10
1.0
6.3466 0.0000 0.0000
0.0000 10.0147 0.0000
-1.5903 0.0000 6.5918
Na Ho B Te O
4 4 4 2 20
direct
0.0865 0.1118 0.1695
0.0865 0.3882 0.6695
0.9135 0.6118 0.3305
0.9135 0.8882 0.8305
0.3737 0.6661 0.9772
0.3737 0.8339 0.4772
0.6263 0.1661 0.5228
0.6263 0.3339 0.0228
0.1627 0.0992 0.6307
0.1627 0.4008 0.1307
0.8373 0.5992 0.8693
0.8373 0.9008 0.3693
0.5000 0.0000 0.0000
0.5000 0.5000 0.5000
0.0200 0.6715 0.9406
0.0200 0.8285 0.4406
0.2073 0.0606 0.8389
0.2073 0.4394 0.3389
0.3014 0.0614 0.5117
0.3014 0.4386 0.0117
0.3399 0.6176 0.6371
0.3399 0.8824 0.1371
0.4937 0.1506 0.1783
0.4937 0.3494 0.6783
0.5063 0.6506 0.3217
0.5063 0.8494 0.8217
0.6601 0.1176 0.8629
0.6601 0.3824 0.3629
0.6986 0.5614 0.9883
0.6986 0.9386 0.4883
0.7927 0.5606 0.6611
0.7927 0.9394 0.1611
0.9800 0.1715 0.5594
0.9800 0.3285 0.0594
```

(3)
Theoretical powder diffraction line list of HoNb2B6 for Cu Ka, from the PBE geometry in Alexandria.
Intensities are scaled so that the largest is 100.

The 10 most intense peaks (2θ from 10° to 90°), low angle first:
2θ 18.75, d = 4.733 Å, intensity 11.2
2θ 25.52, d = 3.490 Å, intensity 40.1
2θ 32.77, d = 2.733 Å, intensity 76.2
2θ 41.99, d = 2.152 Å, intensity 100.0
2θ 52.44, d = 1.745 Å, intensity 9.5
2θ 58.50, d = 1.578 Å, intensity 20.4
2θ 63.23, d = 1.471 Å, intensity 23.2
2θ 64.86, d = 1.438 Å, intensity 19.0
2θ 74.59, d = 1.272 Å, intensity 17.7
2θ 82.41, d = 1.170 Å, intensity 15.2

Crystal structure
```
HoNb2B6
1.0
5.4651 0.0000 0.0000
-2.7326 4.7329 0.0000
0.0000 0.0000 3.4899
Ho Nb B
1 2 6
direct
0.0000 0.0000 0.0000
0.3333 0.6667 0.0000
0.6667 0.3333 0.0000
0.0000 0.3384 0.5000
0.0000 0.6616 0.5000
0.3384 0.0000 0.5000
0.3384 0.3384 0.5000
0.6616 0.0000 0.5000
0.6616 0.6616 0.5000
```

(4)
Theoretical powder diffraction line list of Ho2NbB2Ru5 for Cu Ka, from the PBE geometry in Alexandria.
Intensities are scaled so that the largest is 100.

The 10 most intense peaks (2θ from 10° to 90°), low angle first:
2θ 35.42, d = 2.535 Å, intensity 92.1
2θ 38.39, d = 2.345 Å, intensity 89.2
2θ 39.03, d = 2.308 Å, intensity 34.5
2θ 39.54, d = 2.279 Å, intensity 20.9
2θ 41.29, d = 2.187 Å, intensity 100.0
2θ 41.78, d = 2.162 Å, intensity 36.2
2θ 44.50, d = 2.036 Å, intensity 27.9
2θ 65.11, d = 1.433 Å, intensity 20.1
2θ 69.07, d = 1.360 Å, intensity 21.3
2θ 72.66, d = 1.301 Å, intensity 26.9

Crystal structure
```
Ho2NbB2Ru5
1.0
9.6687 0.0000 0.0000
0.0000 9.6687 0.0000
0.0000 0.0000 3.1283
Ho Nb B Ru
4 2 4 10
direct
0.1751 0.3249 0.0000
0.3249 0.8249 0.0000
0.6751 0.1751 0.0000
0.8249 0.6751 0.0000
0.0000 0.0000 0.0000
0.5000 0.5000 0.0000
0.1205 0.6205 0.0000
0.3795 0.1205 0.0000
0.6205 0.8795 0.0000
0.8795 0.3795 0.0000
0.0000 0.5000 0.5000
0.0711 0.7819 0.5000
0.2181 0.0711 0.5000
0.2819 0.5711 0.5000
0.4289 0.2819 0.5000
0.5000 0.0000 0.5000
0.5711 0.7181 0.5000
0.7181 0.4289 0.5000
0.7819 0.9289 0.5000
0.9289 0.2181 0.5000
```

(5)
Theoretical powder diffraction line list of NdHoB12 for Cu Ka, from the PBE geometry in Alexandria.
Intensities are scaled so that the largest is 100.

The 10 most intense peaks (2θ from 10° to 90°), low angle first:
2θ 21.61, d = 4.113 Å, intensity 68.1
2θ 30.74, d = 2.908 Å, intensity 100.0
2θ 37.89, d = 2.375 Å, intensity 42.1
2θ 44.03, d = 2.056 Å, intensity 21.4
2θ 49.56, d = 1.839 Å, intensity 50.0
2θ 54.66, d = 1.679 Å, intensity 28.1
2θ 68.43, d = 1.371 Å, intensity 27.8
2θ 72.70, d = 1.301 Å, intensity 19.8
2θ 76.88, d = 1.240 Å, intensity 13.0
2θ 89.07, d = 1.099 Å, intensity 18.2

Crystal structure
```
NdHoB12
1.0
4.1122 0.0000 0.0000
0.0000 4.1122 0.0000
0.0000 0.0000 8.2279
Nd Ho B
1 1 12
direct
0.0000 0.0000 0.0000
0.0000 0.0000 0.5000
0.1992 0.5000 0.2521
0.1992 0.5000 0.7479
0.5000 0.1992 0.2521
0.5000 0.1992 0.7479
0.5000 0.5000 0.1004
0.5000 0.5000 0.4013
0.5000 0.5000 0.5987
0.5000 0.5000 0.8996
0.5000 0.8008 0.2521
0.5000 0.8008 0.7479
0.8008 0.5000 0.2521
0.8008 0.5000 0.7479
```

(6)
Theoretical powder diffraction line list of Ho4NiB14 for Cu Ka, from the PBE geometry in Alexandria.
Intensities are scaled so that the largest is 100.

The 10 most intense peaks (2θ from 10° to 90°), low angle first:
2θ 23.81, d = 3.737 Å, intensity 65.1
2θ 24.69, d = 3.605 Å, intensity 29.8
2θ 27.66, d = 3.225 Å, intensity 85.5
2θ 34.57, d = 2.595 Å, intensity 37.6
2θ 36.82, d = 2.441 Å, intensity 100.0
2θ 46.67, d = 1.946 Å, intensity 26.0
2θ 52.31, d = 1.749 Å, intensity 29.1
2θ 56.96, d = 1.617 Å, intensity 23.8
2θ 58.25, d = 1.584 Å, intensity 32.4
2θ 74.28, d = 1.277 Å, intensity 20.3

Crystal structure
```
Ho4NiB14
1.0
7.2104 0.0000 0.0000
0.0000 7.2104 0.0000
0.0000 0.0000 7.4738
Ho Ni B
8 2 28
direct
0.1683 0.3059 0.0000
0.1941 0.3317 0.5000
0.3059 0.8317 0.0000
0.3317 0.8059 0.5000
0.6683 0.1941 0.5000
0.6941 0.1683 0.0000
0.8059 0.6683 0.5000
0.8317 0.6941 0.0000
0.0000 0.0000 0.5000
0.5000 0.5000 0.0000
0.0000 0.0000 0.1114
0.0000 0.0000 0.8886
0.0393 0.8252 0.2676
0.0393 0.8252 0.7324
0.0891 0.5891 0.2500
0.0891 0.5891 0.7500
0.1748 0.0393 0.2676
0.1748 0.0393 0.7324
0.3252 0.5393 0.2324
0.3252 0.5393 0.7676
0.4108 0.0891 0.2500
0.4108 0.0891 0.7500
0.4607 0.3252 0.2324
0.4607 0.3252 0.7676
0.5000 0.5000 0.3886
0.5000 0.5000 0.6114
0.5393 0.6748 0.2324
0.5393 0.6748 0.7676
0.5891 0.9108 0.2500
0.5891 0.9108 0.7500
0.6748 0.4607 0.2324
0.6748 0.4607 0.7676
0.8252 0.9607 0.2676
0.8252 0.9607 0.7324
0.9108 0.4108 0.2500
0.9108 0.4108 0.7500
0.9607 0.1748 0.2676
0.9607 0.1748 0.7324
```

- Number 5 is which compound?
  NdHoB12